1.
Fe5O7F3: calculated XRD peak list (Cu Kα), based on the PBE+U geometry in the Materials Project.

The 12 most intense peaks (15 to 90 degrees two-theta), low angle first:
| 2θ/deg | d_spacing | I_rel |
| --- | --- | --- |
| 26.35 | 3.382 | 100 |
| 27.67 | 3.224 | 96 |
| 35.09 | 2.558 | 27 |
| 35.21 | 2.549 | 52 |
| 35.31 | 2.542 | 25 |
| 38.58 | 2.333 | 19 |
| 52.32 | 1.748 | 31 |
| 52.61 | 1.740 | 29 |
| 54.06 | 1.696 | 27 |
| 54.25 | 1.691 | 17 |
| 60.88 | 1.522 | 17 |
| 67.67 | 1.385 | 25 |

Structural model:
```
Fe5O7F3
1.0
4.6699 0.0000 0.0000
0.2238 4.6693 0.0000
0.0200 0.1030 15.2166
Fe O F
10 14 6
Cartesian
0.0000 0.0000 0.0000
4.6727 0.0237 3.0273
0.0838 0.1981 9.2194
0.1352 0.2058 12.1936
0.2480 0.3352 6.0118
2.5664 2.5307 10.5187
2.5698 2.5027 4.5708
2.6025 2.5619 13.7574
2.6315 2.5199 1.5460
2.6496 2.3681 7.6823
1.1561 3.8477 1.5214
1.1992 3.9726 13.6840
1.2005 3.9602 10.7452
1.2152 3.9179 4.5380
1.6172 1.5613 9.1401
1.7212 1.6495 6.0573
3.4513 3.3308 3.0928
3.4901 3.4136 15.2156
3.5554 3.4153 9.1166
3.8848 0.9832 1.5214
3.9128 1.0707 4.5144
3.9244 1.1063 10.7863
3.9436 1.0930 13.6872
4.0372 1.0304 7.5992
1.3001 3.9072 7.5577
1.5694 1.5312 3.0179
1.5723 1.4986 0.0084
1.6392 1.6532 12.2207
3.5083 3.4428 12.1958
3.6044 3.4320 6.1088
```

---

2.
Ba2CuWO6: calculated XRD peak list (Cu Kα), based on the PBE+U geometry in the Materials Project.

The 12 most intense peaks (15 to 90 degrees two-theta), low angle first:
| 2θ/deg | d_spacing | I_rel |
| --- | --- | --- |
| 18.63 | 4.763 | 19 |
| 30.02 | 2.977 | 100 |
| 31.89 | 2.807 | 42 |
| 40.06 | 2.251 | 18 |
| 45.72 | 1.985 | 24 |
| 52.09 | 1.756 | 21 |
| 55.66 | 1.651 | 36 |
| 62.38 | 1.489 | 18 |
| 66.64 | 1.403 | 19 |
| 80.69 | 1.191 | 8 |
| 84.56 | 1.146 | 12 |
| 89.38 | 1.096 | 10 |

Structural model:
```
Ba2CuWO6
1.0
-2.8065 2.8065 4.5014
2.8065 -2.8065 4.5014
2.8065 2.8065 -4.5014
Ba Cu W O
2 1 1 6
Cartesian
2.8065 0.0000 2.2507
0.0000 2.8065 2.2507
0.0000 0.0000 0.0000
0.0000 0.0000 4.5014
1.4788 1.3582 0.0000
1.4483 -1.3277 4.5014
0.0000 0.0000 2.5526
0.0000 0.0000 6.4502
1.3582 4.1343 0.0000
1.3277 1.4483 4.5014
```

---

3.
K2MgFe2O4: calculated XRD peak list (Cu Kα), based on the PBE+U geometry in the Materials Project.

The 12 most intense peaks (15 to 90 degrees two-theta), low angle first:
| 2θ/deg | d_spacing | I_rel |
| --- | --- | --- |
| 15.01 | 5.903 | 23 |
| 26.29 | 3.390 | 46 |
| 28.27 | 3.157 | 50 |
| 30.32 | 2.948 | 100 |
| 34.04 | 2.633 | 63 |
| 35.32 | 2.541 | 25 |
| 35.97 | 2.497 | 44 |
| 38.60 | 2.333 | 35 |
| 41.51 | 2.175 | 28 |
| 47.62 | 1.910 | 69 |
| 52.21 | 1.752 | 27 |
| 56.73 | 1.623 | 27 |

Structural model:
```
K2MgFe2O4
1.0
6.8053 -1.5154 0.0000
6.8053 1.5154 0.0000
-2.8056 0.0000 6.9708
K Mg Fe O
2 1 2 4
Cartesian
2.4625 0.0000 1.9591
8.3426 0.0000 5.0117
0.0000 0.0000 0.0000
-1.4027 0.0000 4.7178
12.2078 0.0000 2.2530
0.1328 0.0000 3.4996
5.5856 0.0000 0.6902
5.2194 0.0000 6.2806
10.6723 0.0000 3.4712
```

---

4.
Ca5Si6W5O17: calculated XRD peak list (Cu Kα), based on the PBE+U geometry in the Materials Project.

The 12 most intense peaks (15 to 90 degrees two-theta), low angle first:
| 2θ/deg | d_spacing | I_rel |
| --- | --- | --- |
| 15.69 | 5.646 | 21 |
| 16.19 | 5.476 | 24 |
| 17.30 | 5.126 | 23 |
| 23.98 | 3.711 | 19 |
| 29.24 | 3.055 | 27 |
| 30.45 | 2.935 | 19 |
| 30.89 | 2.895 | 100 |
| 32.44 | 2.760 | 27 |
| 32.72 | 2.737 | 32 |
| 35.01 | 2.563 | 21 |
| 35.59 | 2.522 | 24 |
| 38.11 | 2.361 | 26 |

Structural model:
```
Ca5Si6W5O17
1.0
6.8487 0.0000 0.0000
2.9197 6.4118 0.0000
0.2771 2.4070 11.7390
Ca Si W O
5 6 5 17
Cartesian
0.0000 0.0000 0.0000
1.5425 3.2755 1.8617
4.9852 5.4963 11.2349
6.2905 6.4071 1.5182
6.8084 3.1212 5.2374
3.1325 4.2930 4.9104
3.2849 4.3256 8.2578
6.6497 8.4700 10.2786
5.0316 2.9615 2.8082
8.3300 5.7945 10.4018
9.6337 6.6760 2.9410
4.6215 7.4388 6.7562
6.2911 6.1462 4.6559
6.3243 5.1537 7.6315
8.1603 7.2502 6.7291
6.8538 2.4575 8.6632
1.9982 5.0936 8.9621
1.8904 3.5214 4.2510
2.7111 6.3382 11.3207
3.2180 5.8552 4.3239
1.1583 0.7238 2.0538
3.1714 4.2917 6.5904
5.3796 8.0392 11.2146
3.2582 2.7824 8.8532
3.8615 2.4567 1.8208
4.5999 5.0684 8.8610
4.5326 3.5786 4.3121
4.7547 2.9990 11.1393
6.0687 4.0101 2.1292
7.3929 7.0524 9.8297
5.9876 1.7024 3.4304
7.3527 4.7987 11.2453
8.6238 5.8057 2.0048
```

---

5.
NaNiH4SO6F: calculated XRD peak list (Cu Kα), based on the PBE+U geometry in the Materials Project.

The 12 most intense peaks (15 to 90 degrees two-theta), low angle first:
| 2θ/deg | d_spacing | I_rel |
| --- | --- | --- |
| 16.71 | 5.307 | 68 |
| 25.13 | 3.544 | 52 |
| 25.34 | 3.515 | 22 |
| 27.82 | 3.206 | 46 |
| 27.99 | 3.188 | 25 |
| 29.75 | 3.003 | 100 |
| 33.99 | 2.637 | 18 |
| 36.21 | 2.481 | 20 |
| 36.88 | 2.437 | 19 |
| 41.53 | 2.175 | 16 |
| 49.95 | 1.826 | 16 |
| 58.25 | 1.584 | 21 |

Structural model:
```
NaNiH4SO6F
1.0
5.7589 0.0000 0.0000
0.0000 7.3032 0.0000
-2.8236 0.0000 6.6998
Na Ni H S O F
2 2 8 2 12 2
Cartesian
0.1894 1.8258 1.3489
2.7459 5.4774 5.3509
2.8794 0.0000 0.0000
2.8794 3.6516 0.0000
-1.5392 0.5199 4.6980
-1.5392 3.1317 4.6980
-0.5785 4.3041 4.2427
-0.5785 6.6508 4.2427
3.5138 0.6525 2.4571
3.5138 2.9991 2.4571
4.4745 4.1715 2.0018
4.4745 6.7834 2.0018
1.1809 5.4774 2.0470
1.7544 1.8258 4.6528
-0.1885 5.4774 2.7112
-1.1139 3.9746 5.0022
-1.1139 6.9803 5.0022
1.2386 4.2572 1.1738
1.2386 6.6976 1.1738
0.6930 1.8258 3.6482
2.2423 5.4774 3.0516
1.6967 0.6056 5.5260
1.6967 3.0460 5.5260
4.0492 0.3230 1.6976
4.0492 3.3286 1.6976
3.1238 1.8258 3.9886
2.0861 1.8258 0.1615
0.8492 5.4774 6.5383
```